For ErZn3, DFT lattice parameters and positions (PBE) gives the theoretical powder diffractogram in this record (Cu Kα X-rays).
Peak positions follow from Bragg's law for the DFT cell and can differ from measured ones.

Structural model:
a = 6.637 Å, b = 4.377 Å, c = 10.046 Å
α = 90.00°, β = 90.00°, γ = 90.00°
Fractional coordinates of all 16 atoms:
Er 0.221 0.250 0.164
Er 0.279 0.750 0.664
Er 0.721 0.250 0.336
Er 0.779 0.750 0.836
Zn 0.036 0.750 0.397
Zn 0.080 0.250 0.852
Zn 0.216 0.750 0.957
Zn 0.284 0.250 0.457
Zn 0.420 0.750 0.352
Zn 0.464 0.250 0.897
Zn 0.536 0.750 0.103
Zn 0.580 0.250 0.648
Zn 0.716 0.750 0.543
Zn 0.784 0.250 0.043
Zn 0.920 0.750 0.148
Zn 0.964 0.250 0.603

Most intense lines, 2θ from 10° to 90°, by intensity:
Position (°2θ)	intensity
36.4	100.0
35.1	85.4
41.2	40.9
38.3	24.3
57.6	21.0
22.2	19.6
44.8	19.2
71.2	17.9
43.6	15.5
72.0	15.3

---

For Cr2CoSe4, DFT lattice parameters and positions (PBE) gives the theoretical powder diffractogram in this record (Cu Kα X-rays).
Peak positions follow from Bragg's law for the DFT cell and can differ from measured ones.

Structural model:
a = 4.943 Å, b = 5.100 Å, c = 6.444 Å
α = 110.89°, β = 106.78°, γ = 98.91°
Fractional coordinates of all 7 atoms:
Cr 0.123 0.359 0.236
Cr 0.877 0.641 0.764
Co 0.500 0.000 0.000
Se 0.199 0.869 0.197
Se 0.324 0.514 0.693
Se 0.676 0.486 0.307
Se 0.801 0.131 0.803

Most intense lines, 2θ from 10° to 90°, by intensity:
Position (°2θ)	intensity
27.8	100.0
36.8	88.0
32.0	78.7
38.7	68.1
19.2	63.4
35.6	55.5
44.0	52.1
48.2	49.9
44.6	46.3
57.4	38.4

---

For Er4MgZr4O14, DFT lattice parameters and positions (PBE) gives the theoretical powder diffractogram in this record (Cu Kα X-rays).
Peak positions follow from Bragg's law for the DFT cell and can differ from measured ones.

Structural model:
a = 6.977 Å, b = 4.201 Å, c = 10.871 Å
α = 90.00°, β = 90.25°, γ = 90.00°
Fractional coordinates of all 23 atoms:
Er 0.000 0.000 0.000
Er 0.244 0.500 0.287
Er 0.500 0.000 0.000
Er 0.756 0.500 0.713
Mg 0.500 0.500 0.000
Zr 0.000 0.000 0.500
Zr 0.243 0.500 0.737
Zr 0.500 0.000 0.500
Zr 0.757 0.500 0.263
O 0.018 0.500 0.139
O 0.024 0.500 0.607
O 0.246 0.000 0.633
O 0.248 0.000 0.379
O 0.256 0.000 0.883
O 0.473 0.500 0.607
O 0.482 0.500 0.162
O 0.518 0.500 0.838
O 0.527 0.500 0.393
O 0.744 0.000 0.117
O 0.752 0.000 0.621
O 0.754 0.000 0.367
O 0.976 0.500 0.393
O 0.982 0.500 0.861

Most intense lines, 2θ from 10° to 90°, by intensity:
Position (°2θ)	intensity
26.8	100.0
30.5	36.0
30.4	35.6
33.4	32.9
53.6	29.0
47.7	23.2
43.1	22.1
47.5	21.4
33.0	13.9
55.2	13.3

---

For K4Sn3Se8, DFT lattice parameters and positions (PBE) gives the theoretical powder diffractogram in this record (Cu Kα X-rays).
Peak positions follow from Bragg's law for the DFT cell and can differ from measured ones.

Structural model:
a = 14.740 Å, b = 14.740 Å, c = 8.420 Å
α = 90.00°, β = 90.00°, γ = 146.64°
Fractional coordinates of all 30 atoms:
K 0.017 0.983 0.750
K 0.147 0.853 0.750
K 0.353 0.647 0.750
K 0.483 0.517 0.750
K 0.517 0.483 0.250
K 0.647 0.353 0.250
K 0.853 0.147 0.250
K 0.983 0.017 0.250
Sn 0.124 0.876 0.250
Sn 0.250 0.750 0.250
Sn 0.376 0.624 0.250
Sn 0.624 0.376 0.750
Sn 0.750 0.250 0.750
Sn 0.876 0.124 0.750
Se 0.028 0.650 0.411
Se 0.103 0.257 0.930
Se 0.150 0.528 0.089
Se 0.243 0.397 0.430
Se 0.257 0.103 0.430
Se 0.350 0.972 0.089
Se 0.397 0.243 0.930
Se 0.472 0.850 0.411
Se 0.528 0.150 0.589
Se 0.603 0.757 0.070
Se 0.650 0.028 0.911
Se 0.743 0.897 0.570
Se 0.757 0.603 0.570
Se 0.850 0.472 0.911
Se 0.897 0.743 0.070
Se 0.972 0.350 0.589

Most intense lines, 2θ from 10° to 90°, by intensity:
Position (°2θ)	intensity
15.2	100.0
33.1	81.4
26.7	76.6
29.9	49.4
28.5	34.0
45.7	25.3
48.3	20.6
40.5	20.3
40.6	20.2
25.5	17.9